# 1
AgCl3: simulated powder diffractogram (CuKα), based on a crystal structure in Alexandria, relaxed with GGA-PBE.

Cell and atoms:
```
AgCl3
1.0
7.3086 0.0000 0.0000
0.0000 4.0827 0.0000
-1.2453 0.0000 7.2485
Ag Cl
2 6
Direct
0.0000 0.0000 0.0000
0.5000 0.5000 0.0000
0.0000 0.5000 0.5000
0.1330 0.5000 0.8090
0.3670 0.0000 0.1910
0.5000 0.0000 0.5000
0.6330 0.0000 0.8090
0.8670 0.5000 0.1910
```

Principal peaks in the range 10 to 90 degrees two-theta, sorted by position:
12.21°, I 97
24.72°, I 38
27.02°, I 100
29.50°, I 24
33.83°, I 36
38.09°, I 24
43.51°, I 22
43.71°, I 47
44.38°, I 17
47.24°, I 30


# 2
CoAg4Cl6: simulated powder diffractogram (CuKα), based on a crystal structure in Alexandria, relaxed with GGA-PBE.

Cell and atoms:
```
CoAg4Cl6
1.0
6.3897 -3.7150 0.0000
6.3897 3.7150 0.0000
-4.1793 0.0000 12.0902
Co Ag Cl
2 8 12
Direct
0.2380 0.7620 0.5000
0.7620 0.2380 0.0000
0.0043 0.8516 0.7432
0.1698 0.3802 0.2495
0.3562 0.7751 0.0877
0.3802 0.1698 0.7495
0.6417 0.8654 0.4362
0.7751 0.3562 0.5877
0.8516 0.0043 0.2432
0.8654 0.6417 0.9362
0.0087 0.4956 0.7497
0.0489 0.0780 0.4457
0.0508 0.5777 0.4445
0.0780 0.0489 0.9457
0.1058 0.6529 0.1298
0.3398 0.8079 0.6847
0.4956 0.0087 0.2497
0.5349 0.5670 0.4250
0.5670 0.5349 0.9250
0.5777 0.0508 0.9445
0.6529 0.1058 0.6298
0.8079 0.3398 0.1847
```

Principal peaks in the range 10 to 90 degrees two-theta, sorted by position:
23.99°, I 54
24.07°, I 51
25.09°, I 77
25.24°, I 72
28.21°, I 76
28.39°, I 54
29.56°, I 100
32.82°, I 45
42.22°, I 57
44.97°, I 51


# 3
Cs5CoAgCl8: simulated powder diffractogram (CuKα), based on a crystal structure in Alexandria, relaxed with GGA-PBE.

Cell and atoms:
```
Cs5CoAgCl8
1.0
0.0000 12.0535 6.6582
6.6824 0.0000 6.6582
6.6824 12.0535 0.0000
Cs Co Ag Cl
10 2 2 16
Direct
0.0917 0.9083 0.0917
0.2241 0.4209 0.5791
0.4068 0.9080 0.4067
0.4078 0.4078 0.0922
0.4209 0.2241 0.7759
0.5933 0.7215 0.5932
0.7215 0.5933 0.0920
0.9083 0.0917 0.9083
0.9080 0.4068 0.2785
0.9078 0.9078 0.5922
0.4091 0.9101 0.0899
0.9101 0.4091 0.5909
0.1492 0.6086 0.8508
0.6086 0.1492 0.3914
0.0393 0.3332 0.9607
0.0589 0.7630 0.7411
0.1011 0.2156 0.5113
0.2156 0.1011 0.1719
0.2589 0.5630 0.9411
0.3283 0.7176 0.2824
0.3332 0.0393 0.6668
0.4887 0.8281 0.8989
0.5090 0.5090 0.4910
0.5630 0.2589 0.2370
0.6018 0.9905 0.0095
0.7176 0.3283 0.6717
0.7630 0.0589 0.4370
0.8018 0.8018 0.1982
0.8281 0.4887 0.7844
0.9905 0.6018 0.3982
```

Principal peaks in the range 10 to 90 degrees two-theta, sorted by position:
19.85°, I 13
21.39°, I 36
22.12°, I 16
23.96°, I 33
26.73°, I 19
28.11°, I 100
29.95°, I 54
43.80°, I 14
48.55°, I 14
55.77°, I 11


# 4
K3CoAg2Cl8: simulated powder diffractogram (CuKα), based on a crystal structure in Alexandria, relaxed with GGA-PBE.

Cell and atoms:
```
K3CoAg2Cl8
1.0
6.9152 0.0000 0.0000
-3.4576 5.9887 0.0000
0.0000 0.0000 9.3485
K Co Ag Cl
3 1 2 8
Direct
0.0000 0.0000 0.0000
0.3333 0.6667 0.6167
0.6667 0.3333 0.3833
0.0000 0.0000 0.5000
0.3333 0.6667 0.1939
0.6667 0.3333 0.8061
0.1539 0.3078 0.3536
0.1539 0.8461 0.3536
0.3078 0.1539 0.6464
0.3333 0.6667 0.9378
0.6667 0.3333 0.0622
0.6922 0.8461 0.3536
0.8461 0.1539 0.6464
0.8461 0.6922 0.6464
```

Principal peaks in the range 10 to 90 degrees two-theta, sorted by position:
17.59°, I 94
24.15°, I 42
25.77°, I 100
32.39°, I 28
35.61°, I 69
41.03°, I 23
41.84°, I 23
45.43°, I 19
49.47°, I 27
52.97°, I 32


# 5
LiCoAgCl4: simulated powder diffractogram (CuKα), based on a crystal structure in Alexandria, relaxed with GGA-PBE.

Cell and atoms:
```
LiCoAgCl4
1.0
5.9326 0.0000 0.0000
0.0000 5.9326 0.0000
0.0000 0.0000 10.4370
Li Co Ag Cl
2 2 2 8
Direct
0.0000 0.0000 0.0000
0.5000 0.5000 0.5000
0.0000 0.5000 0.2500
0.5000 0.0000 0.7500
0.0000 0.0000 0.5000
0.5000 0.5000 0.0000
0.2093 0.2605 0.1300
0.2395 0.7093 0.3700
0.2605 0.7907 0.8700
0.2907 0.2395 0.6300
0.7093 0.7605 0.6300
0.7395 0.2093 0.8700
0.7605 0.2907 0.3700
0.7907 0.7395 0.1300
```

Principal peaks in the range 10 to 90 degrees two-theta, sorted by position:
17.19°, I 92
27.28°, I 100
29.77°, I 24
34.89°, I 33
42.87°, I 18
43.13°, I 24
46.34°, I 40
51.78°, I 27
57.34°, I 10
81.38°, I 11


# 6
CoAgSnCl6: simulated powder diffractogram (CuKα), based on a crystal structure in Alexandria, relaxed with GGA-PBE.

Cell and atoms:
```
CoAgSnCl6
1.0
6.5545 0.0000 0.0000
-3.2772 5.6764 0.0000
0.0000 0.0000 5.9059
Co Ag Sn Cl
1 1 1 6
Direct
0.0000 0.0000 0.0000
0.6667 0.3333 0.0000
0.3333 0.6667 0.5000
0.2856 0.0015 0.2244
0.2856 0.2840 0.7756
0.7160 0.0015 0.7756
0.7160 0.7144 0.2244
0.9985 0.2840 0.2244
0.9985 0.7144 0.7756
```

Principal peaks in the range 10 to 90 degrees two-theta, sorted by position:
21.72°, I 100
27.21°, I 24
31.21°, I 27
35.08°, I 28
41.15°, I 61
44.95°, I 33
48.09°, I 25
60.90°, I 12
64.21°, I 12
65.10°, I 14


# 7
TlCoAgCl6: simulated powder diffractogram (CuKα), based on a crystal structure in Alexandria, relaxed with GGA-PBE.

Cell and atoms:
```
TlCoAgCl6
1.0
3.2739 -5.6849 0.0000
3.2739 5.6849 0.0000
-0.0118 0.0000 6.6095
Tl Co Ag Cl
1 1 1 6
Direct
0.0000 0.0000 0.0000
0.3334 0.6666 0.5000
0.6667 0.3333 0.5000
0.0460 0.3927 0.3009
0.0456 0.6529 0.6977
0.3459 0.3927 0.6980
0.3471 0.9544 0.3023
0.6073 0.6541 0.3020
0.6073 0.9540 0.6991
```

Principal peaks in the range 10 to 90 degrees two-theta, sorted by position:
20.62°, I 100
27.20°, I 22
30.44°, I 12
34.38°, I 24
38.69°, I 47
44.09°, I 12
44.36°, I 22
48.08°, I 16
52.58°, I 10
60.18°, I 10


# 8
CrAg2Cl5: simulated powder diffractogram (CuKα), based on a crystal structure in Alexandria, relaxed with GGA-PBE.

Cell and atoms:
```
CrAg2Cl5
1.0
10.0683 0.0000 0.0000
0.0000 8.9970 0.0000
-3.2060 0.0000 4.9753
Cr Ag Cl
2 4 10
Direct
0.0000 0.0000 0.0000
0.5000 0.5000 0.0000
0.3068 0.2780 0.4157
0.3068 0.7220 0.4157
0.8068 0.2220 0.4157
0.8068 0.7780 0.4157
0.0081 0.2559 0.9571
0.0081 0.7441 0.9571
0.2352 0.5000 0.6491
0.2763 0.0000 0.2528
0.4640 0.5000 0.3455
0.5081 0.2441 0.9571
0.5081 0.7559 0.9571
0.7352 0.0000 0.6491
0.7763 0.5000 0.2528
0.9640 0.0000 0.3455
```

Principal peaks in the range 10 to 90 degrees two-theta, sorted by position:
14.37°, I 52
17.83°, I 42
18.78°, I 100
20.99°, I 31
27.37°, I 72
34.47°, I 40
36.07°, I 35
36.38°, I 27
40.07°, I 41
41.45°, I 37


# 9
TaCrAgCl2: simulated powder diffractogram (CuKα), based on a crystal structure in Alexandria, relaxed with GGA-PBE.

Cell and atoms:
```
TaCrAgCl2
1.0
4.8766 0.0000 0.0000
0.0000 4.8766 0.0000
0.0000 0.0000 5.4608
Ta Cr Ag Cl
1 1 1 2
Direct
0.0000 0.0000 0.0000
0.5000 0.5000 0.0000
0.0000 0.0000 0.5000
0.0000 0.5000 0.5000
0.5000 0.0000 0.5000
```

Principal peaks in the range 10 to 90 degrees two-theta, sorted by position:
18.19°, I 100
25.84°, I 58
30.66°, I 38
32.80°, I 37
36.86°, I 53
37.76°, I 33
41.40°, I 25
42.22°, I 32
50.16°, I 43
53.80°, I 24


# 10
CsAg5Cl8: simulated powder diffractogram (CuKα), based on a crystal structure in Alexandria, relaxed with GGA-PBE.

Cell and atoms:
```
CsAg5Cl8
1.0
4.2333 0.0000 0.0000
1.0987 9.4103 0.0000
1.9385 2.3199 9.3267
Cs Ag Cl
1 5 8
Direct
0.0000 0.0000 0.0000
0.0978 0.4715 0.6820
0.2222 0.8335 0.5863
0.5000 0.5000 0.0000
0.7778 0.1665 0.4137
0.9022 0.5285 0.3180
0.1360 0.6685 0.8391
0.2790 0.3384 0.4793
0.2822 0.0035 0.3341
0.4520 0.6765 0.1560
0.5480 0.3235 0.8440
0.7178 0.9965 0.6659
0.7210 0.6616 0.5207
0.8640 0.3315 0.1609
```

Principal peaks in the range 10 to 90 degrees two-theta, sorted by position:
19.17°, I 98
19.44°, I 77
23.70°, I 100
27.18°, I 79
28.06°, I 79
30.06°, I 72
34.65°, I 97
38.26°, I 80
38.78°, I 89
43.07°, I 89


# 11
Cs6AgCl: simulated powder diffractogram (CuKα), based on a crystal structure in Alexandria, relaxed with GGA-PBE.

Cell and atoms:
```
Cs6AgCl
1.0
9.1866 0.0000 0.0000
-4.5933 7.9558 0.0000
0.0000 0.0000 17.4580
Cs Ag Cl
12 2 2
Direct
0.0095 0.3200 0.1213
0.0095 0.6895 0.3787
0.3105 0.3200 0.3787
0.3105 0.9905 0.1213
0.3200 0.0095 0.6213
0.3200 0.3105 0.8787
0.6800 0.6895 0.1213
0.6800 0.9905 0.3787
0.6895 0.0095 0.8787
0.6895 0.6800 0.6213
0.9905 0.3105 0.6213
0.9905 0.6800 0.8787
0.3333 0.6667 0.2500
0.6667 0.3333 0.7500
0.0000 0.0000 0.0000
0.0000 0.0000 0.5000
```

Principal peaks in the range 10 to 90 degrees two-theta, sorted by position:
12.23°, I 11
20.35°, I 17
21.87°, I 100
28.20°, I 34
33.80°, I 29
36.56°, I 25
39.77°, I 16
40.62°, I 18
53.84°, I 14
54.45°, I 15


# 12
Cs4AgCl5: simulated powder diffractogram (CuKα), based on a crystal structure in Alexandria, relaxed with GGA-PBE.

Cell and atoms:
```
Cs4AgCl5
1.0
-5.3075 5.3075 3.5180
5.3075 -5.3075 3.5180
5.3075 5.3075 -3.5180
Cs Ag Cl
4 1 5
Direct
0.0944 0.2973 0.3916
0.2973 0.9056 0.2029
0.7027 0.0944 0.7971
0.9056 0.7027 0.6084
0.5554 0.5554 0.0000
0.2357 0.5817 0.8254
0.4103 0.2357 0.6540
0.5817 0.7563 0.3460
0.7563 0.4103 0.1746
0.9310 0.9310 0.0000
```

Principal peaks in the range 10 to 90 degrees two-theta, sorted by position:
22.60°, I 98
25.32°, I 54
26.55°, I 100
37.02°, I 74
37.91°, I 35
43.02°, I 20
44.58°, I 39
46.13°, I 35
58.66°, I 17
67.88°, I 18